This entry pairs a crystal structure of Cu2AsO6 with its theoretical PXRD pattern. Radiation: Cu Ka. Structure: a GGA-PBE-relaxed structure.
No peak broadening, texture or thermal motion is included.

Largest 8 diffraction maxima, in order of rising 2θ, 2θ from 15° to 90°:
- (0 0 1), 18.07°, intensity 51
- (0 1 1), 20.89°, intensity 100
- (0 2 1), 27.76°, intensity 68
- (0 3 0), 31.57°, intensity 36
- (1 1 0), 31.90°, intensity 28
- (1 0 1), 35.30°, intensity 33
- (1 1 1), 36.90°, intensity 50
- (1 0 2), 48.07°, intensity 56

Cell and atoms:
```
Cu2AsO6
1.0
2.9720 0.0000 0.0000
0.0000 8.5015 0.0000
0.0000 0.0000 4.9104
Cu As O
2 1 6
direct
0.0000 0.1803 0.0000
0.0000 0.8197 0.0000
0.5000 0.5000 0.6451
0.0000 0.0000 0.7848
0.0000 0.5000 0.4276
0.5000 0.1329 0.2251
0.5000 0.3318 0.8304
0.5000 0.6682 0.8304
0.5000 0.8671 0.2251
```